# 1
Starting from DFT lattice parameters and positions (PBE), the powder XRD pattern of La2Hg5 was calculated for Cu Kα (weighted mean of Kα1 and Kα2).

Top 10 peaks for 2θ from 10° to 90°, sorted by position:
2theta  I (rel.)
28.73  32
33.30  27
34.35  90
34.84  100
35.77  92
36.04  21
52.18  23
54.97  29
61.23  24
63.99  32

Unit cell a=8.8558 b=8.8558 c=8.8558 alpha=129.24 beta=71.38 gamma=133.37
Element x y z (fractional)
La 0.1124 0.2007 0.3132
La 0.3876 0.7007 0.0883
La 0.6124 0.2993 0.9117
La 0.8876 0.7993 0.6868
Hg 0.0215 0.7500 0.2715
Hg 0.1144 0.7785 0.8929
Hg 0.2500 0.7500 0.5000
Hg 0.3856 0.2785 0.6641
Hg 0.4785 0.7500 0.7285
Hg 0.5215 0.2500 0.2715
Hg 0.6144 0.7215 0.3359
Hg 0.7500 0.2500 0.5000
Hg 0.8856 0.2215 0.1071
Hg 0.9785 0.2500 0.7285


# 2
Starting from DFT lattice parameters and positions (PBE), the powder XRD pattern of La5Hg2 was calculated for Cu Kα (weighted mean of Kα1 and Kα2).

Top 10 peaks for 2θ from 10° to 90°, sorted by position:
2theta  I (rel.)
20.14  33
28.35  41
30.81  27
31.38  91
32.30  39
33.38  100
34.71  84
38.78  30
51.14  27
62.58  47

Unit cell a=9.4674 b=9.4674 c=9.4674 alpha=126.99 beta=70.61 gamma=136.91
Element x y z (fractional)
La 0.0179 0.2500 0.7679
La 0.0784 0.6665 0.7449
La 0.2500 0.2500 0.0000
La 0.4216 0.1665 0.5881
La 0.4821 0.2500 0.2321
La 0.5179 0.7500 0.7679
La 0.5784 0.8335 0.4119
La 0.7500 0.7500 0.0000
La 0.9216 0.3335 0.2551
La 0.9821 0.7500 0.2321
Hg 0.1286 0.2782 0.4069
Hg 0.3714 0.7782 0.1496
Hg 0.6286 0.2218 0.8504
Hg 0.8714 0.7218 0.5931


# 3
Starting from DFT lattice parameters and positions (PBE), the powder XRD pattern of La4Hg5 was calculated for Cu Kα (weighted mean of Kα1 and Kα2).

Top 10 peaks for 2θ from 10° to 90°, sorted by position:
2theta  I (rel.)
31.56  21
32.29  100
32.58  93
46.53  32
53.75  9
57.95  29
58.13  12
64.30  34
77.53  9
83.16  10

Unit cell a=9.5211 b=9.5211 c=6.8217 alpha=90.00 beta=90.00 gamma=120.00
Element x y z (fractional)
La 0.0000 0.0000 0.0000
La 0.0000 0.0000 0.5000
La 0.0000 0.3723 0.2500
La 0.0000 0.6277 0.7500
La 0.3723 0.0000 0.2500
La 0.3723 0.3723 0.7500
La 0.6277 0.0000 0.7500
La 0.6277 0.6277 0.2500
Hg 0.0000 0.3002 0.7500
Hg 0.0000 0.6998 0.2500
Hg 0.3002 0.0000 0.7500
Hg 0.3002 0.3002 0.2500
Hg 0.3333 0.6667 0.0000
Hg 0.3333 0.6667 0.5000
Hg 0.6667 0.3333 0.0000
Hg 0.6667 0.3333 0.5000
Hg 0.6998 0.0000 0.2500
Hg 0.6998 0.6998 0.7500


# 4
Starting from DFT lattice parameters and positions (PBE), the powder XRD pattern of LaHg4 was calculated for Cu Kα (weighted mean of Kα1 and Kα2).

Top 10 peaks for 2θ from 10° to 90°, sorted by position:
2theta  I (rel.)
25.11  39
31.13  99
32.44  93
32.71  89
34.63  100
36.45  83
37.06  78
49.71  37
62.00  38
63.19  34

Unit cell a=3.6682 b=5.1820 c=7.5802 alpha=108.90 beta=103.98 gamma=90.08
Element x y z (fractional)
La 0.0000 0.0000 0.0000
Hg 0.2907 0.7951 0.5791
Hg 0.3966 0.3982 0.7885
Hg 0.6034 0.6018 0.2115
Hg 0.7093 0.2049 0.4209


# 5
Starting from DFT lattice parameters and positions (PBE), the powder XRD pattern of La3Hg13 was calculated for Cu Kα (weighted mean of Kα1 and Kα2).

Top 10 peaks for 2θ from 10° to 90°, sorted by position:
2theta  I (rel.)
30.48  9
31.02  18
32.26  10
34.12  100
34.99  29
35.73  8
47.45  11
50.57  9
62.20  17
62.98  9

Unit cell a=10.2586 b=6.8022 c=6.8022 alpha=64.10 beta=90.00 gamma=90.00
Element x y z (fractional)
La 0.0000 0.0000 0.0000
La 0.2526 0.3286 0.3286
La 0.7474 0.3286 0.3286
Hg 0.0000 0.0044 0.4953
Hg 0.0000 0.4953 0.0044
Hg 0.0000 0.5088 0.5088
Hg 0.2407 0.8131 0.8131
Hg 0.2578 0.3198 0.8259
Hg 0.2578 0.8259 0.3198
Hg 0.5000 0.0365 0.6221
Hg 0.5000 0.1254 0.1254
Hg 0.5000 0.5389 0.5389
Hg 0.5000 0.6221 0.0365
Hg 0.7422 0.3198 0.8259
Hg 0.7422 0.8259 0.3198
Hg 0.7593 0.8131 0.8131


# 6
Starting from DFT lattice parameters and positions (PBE), the powder XRD pattern of LiLa3Hg2 was calculated for Cu Kα (weighted mean of Kα1 and Kα2).

Top 10 peaks for 2θ from 10° to 90°, sorted by position:
2theta  I (rel.)
15.61  12
23.75  10
27.42  10
31.89  54
32.70  100
45.72  20
57.33  41
58.86  18
68.52  12
76.25  10

Unit cell a=3.9690 b=3.9690 c=11.3528 alpha=90.00 beta=90.00 gamma=90.00
Element x y z (fractional)
Li 0.0000 0.0000 0.0000
La 0.5000 0.5000 0.1706
La 0.5000 0.5000 0.5000
La 0.5000 0.5000 0.8294
Hg 0.0000 0.0000 0.3270
Hg 0.0000 0.0000 0.6730


# 7
Starting from DFT lattice parameters and positions (PBE), the powder XRD pattern of Li4La4Hg7 was calculated for Cu Kα (weighted mean of Kα1 and Kα2).

Top 10 peaks for 2θ from 10° to 90°, sorted by position:
2theta  I (rel.)
22.76  17
24.16  24
29.18  32
32.16  100
34.46  31
39.13  16
39.76  10
40.83  9
53.65  23
59.08  10

Unit cell a=11.4668 b=11.4668 c=11.4668 alpha=94.08 beta=94.08 gamma=149.05
Element x y z (fractional)
Li 0.1056 0.6056 0.2112
Li 0.1056 0.8944 0.5000
Li 0.3944 0.6056 0.5000
Li 0.3944 0.8944 0.7888
Li 0.6056 0.1056 0.2112
Li 0.6056 0.3944 0.5000
Li 0.8944 0.1056 0.5000
Li 0.8944 0.3944 0.7888
La 0.0000 0.1917 0.1917
La 0.0000 0.8083 0.8083
La 0.1917 0.0000 0.1917
La 0.3565 0.3565 0.7131
La 0.3565 0.6435 0.0000
La 0.6435 0.3565 0.0000
La 0.6435 0.6435 0.2869
La 0.8083 0.0000 0.8083
Hg 0.0000 0.4039 0.4039
Hg 0.0000 0.5961 0.5961
Hg 0.2013 0.5000 0.7013
Hg 0.2094 0.2094 0.4188
Hg 0.2094 0.7906 0.0000
Hg 0.2584 0.2584 0.0000
Hg 0.4039 0.0000 0.4039
Hg 0.5000 0.2013 0.7013
Hg 0.5000 0.7987 0.2987
Hg 0.5961 0.0000 0.5961
Hg 0.7416 0.7416 0.0000
Hg 0.7906 0.2094 0.0000
Hg 0.7906 0.7906 0.5812
Hg 0.7987 0.5000 0.2987


# 8
Starting from DFT lattice parameters and positions (PBE), the powder XRD pattern of Li6La2Hg3 was calculated for Cu Kα (weighted mean of Kα1 and Kα2).

Top 10 peaks for 2θ from 10° to 90°, sorted by position:
2theta  I (rel.)
11.97  55
20.82  47
30.08  100
32.04  19
32.48  37
36.47  24
38.89  20
44.18  26
49.63  21
63.92  18

Unit cell a=8.5339 b=8.5339 c=4.1395 alpha=90.00 beta=90.00 gamma=120.00
Element x y z (fractional)
Li 0.0000 0.2721 0.0000
Li 0.0000 0.8060 0.5000
Li 0.1940 0.1940 0.5000
Li 0.2721 0.0000 0.0000
Li 0.7279 0.7279 0.0000
Li 0.8060 0.0000 0.5000
La 0.3333 0.6667 0.5000
La 0.6667 0.3333 0.5000
Hg 0.0000 0.6005 0.0000
Hg 0.3995 0.3995 0.0000
Hg 0.6005 0.0000 0.0000